Theoretical PXRD pattern
Compound: ZrAu3
Radiation: Cu Ka
Structure: a DFT-relaxed cell (GGA-PBE, Alexandria)

Structure:
a = 4.8915 Å, b = 6.1851 Å, c = 4.9582 Å
α = 90.00°, β = 90.00°, γ = 90.00°
Space group Pmmn (No. 59, origin choice 2)
Unique sites:
Zr 0.2500 0.2500 0.1617 x2
Au 0.2500 0.5036 0.6660 x4
Au 0.2500 0.7500 0.1609 x2

Principal peaks in the range 2θ = 5–70°, in order of falling intensity:
(hkl)	2θ (°)	d_spacing	Rel. int.
1 2 1	39.0	2.312	100.0
1 0 2	40.8	2.211	46.6
2 0 0	36.7	2.446	39.9
0 2 1	34.2	2.624	25.6
3 2 1	67.7	1.385	20.0
2 2 1	51.0	1.789	16.6
0 2 3	63.9	1.458	16.0
3 0 2	68.9	1.362	10.0
0 4 0	59.8	1.546	9.7
0 0 2	36.2	2.479	9.2